Diffraction record for BaLiHg14. The PXRD pattern is simulated, not measured: it uses DFT lattice parameters and positions (PBE) and Cu Kα, 1.54184 Å.
Neutral-atom scattering factors, no anomalous dispersion.

The 6 most intense peaks (15° ≤ 2θ ≤ 90°), low angle first:
2θ (°), I_rel
28.74, 39
29.39, 33
31.14, 34
32.50, 73
32.77, 97
33.28, 100

Atomic structure:
```
data_BaLiHg14
_chemical_formula_sum 'Ba4 Li4 Hg56'
_space_group_name_H-M_alt 'C 1 2/c 1'
_space_group_IT_number 15
_cell_length_a 15.9456
_cell_length_b 12.4275
_cell_length_c 10.2009
_cell_angle_alpha 90.00
_cell_angle_beta 118.55
_cell_angle_gamma 90.00
loop_
_space_group_symop_operation_xyz
'x,y,z'
'-x,-y,-z'
'-x,y,-z+1/2'
'x,-y,z+1/2'
'x+1/2,y+1/2,z'
'-x+1/2,-y+1/2,-z'
'-x+1/2,y+1/2,-z+1/2'
'x+1/2,-y+1/2,z+1/2'
loop_
_atom_site_label
_atom_site_type_symbol
_atom_site_fract_x
_atom_site_fract_y
_atom_site_fract_z
_atom_site_occupancy
Ba1 Ba 0.0000 0.1660 0.2500 1
Li1 Li 0.2500 0.2500 0.0000 1
Hg1 Hg 0.0172 0.1059 0.6096 1
Hg2 Hg 0.0912 0.3431 0.7258 1
Hg3 Hg 0.0921 0.4253 0.4095 1
Hg4 Hg 0.1020 0.3620 0.0816 1
Hg5 Hg 0.1950 0.1218 0.1779 1
Hg6 Hg 0.2037 0.0342 0.9053 1
Hg7 Hg 0.2165 0.1734 0.6009 1
```

Diffraction record for BaDy2Lu. The PXRD pattern is simulated, not measured: it uses DFT lattice parameters and positions (PBE) and Cu Kα, 1.54184 Å.
Neutral-atom scattering factors, no anomalous dispersion.

The 6 most intense peaks (15° ≤ 2θ ≤ 90°), low angle first:
2θ (°), I_rel
29.30, 100
31.69, 53
36.35, 19
45.42, 20
50.40, 9
54.97, 34

Atomic structure:
```
data_BaDy2Lu
_chemical_formula_sum 'Ba1 Dy2 Lu1'
_space_group_name_H-M_alt 'P 4/m m m'
_space_group_IT_number 123
_space_group_name_Hall '-P 4 2'
_cell_length_a 3.9934
_cell_length_b 3.9934
_cell_length_c 9.4380
_cell_angle_alpha 90.00
_cell_angle_beta 90.00
_cell_angle_gamma 90.00
loop_
_atom_site_label
_atom_site_type_symbol
_atom_site_fract_x
_atom_site_fract_y
_atom_site_fract_z
_atom_site_occupancy
Ba1 Ba 0.0000 0.0000 0.0000 1
Dy1 Dy 0.5000 0.5000 0.3059 1
Lu1 Lu 0.0000 0.0000 0.5000 1
```

Diffraction record for RbIn6Ag2. The PXRD pattern is simulated, not measured: it uses DFT lattice parameters and positions (PBE) and Cu Kα, 1.54184 Å.
Neutral-atom scattering factors, no anomalous dispersion.

The 6 most intense peaks (15° ≤ 2θ ≤ 90°), low angle first:
2θ (°), I_rel
21.83, 30
26.40, 40
37.68, 100
52.01, 14
54.35, 16
68.02, 30

Atomic structure:
Cell lengths 13.5045, 13.5045, 13.5045 Å; angles 90.00, 90.00, 90.00 degrees
Space group Fd-3m (No. 227, origin choice 2)
Symmetry-distinct sites (fractional):
Rb 0.1250 0.1250 0.1250 [8 per cell]
In 0.1118 0.3750 0.8750 [48 per cell]
Ag 0.0000 0.0000 0.5000 [16 per cell]